[1]
Structure and calculated powder diffractogram of Gd4As2O9 (a cell relaxed with PBE; Cu Kα (weighted mean of Kα1 and Kα2)).
Peak positions follow from Bragg's law for the DFT cell and can differ from measured ones.

Top 12 peaks for 10 to 90 degrees two-theta, in order of rising 2θ:
d/Å	I/Imax	(hkl)
8.005	23	0 1 1
3.185	100	0 2 3
3.063	92	2 2 -1
2.731	20	0 4 0
2.699	23	2 0 2
2.683	24	2 0 -4
1.960	14	0 0 6
1.920	22	2 4 2
1.914	22	2 4 -4
1.850	16	4 0 -2
1.603	15	4 2 1
1.596	13	4 2 -5

Structure:
a b c (Å): 7.3994 10.9249 12.3084
angles (deg): 90.00 107.14 90.00
Space group P2_1/c (No. 14)
Inequivalent atoms, fractional coordinates:
Gd1 0.0041 0.1577 0.2597
Gd2 0.1737 0.1047 0.5944
Gd3 0.3301 0.6013 0.9111
Gd4 0.4938 0.1383 0.2337
As1 0.1647 0.6115 0.6010
As2 0.3130 0.1132 0.8968
O1 0.0743 0.7251 0.8943
O2 0.0777 0.1588 0.9054
O3 0.0846 0.0403 0.4149
O4 0.2127 0.0118 0.2051
O5 0.2537 0.5102 0.2907
O6 0.2550 0.7320 0.7001
O7 0.3000 0.2320 0.7944
O8 0.4242 0.2314 0.5874
O9 0.4243 0.5385 0.0957


[2]
Structure and calculated powder diffractogram of Mg2CrFe3S8 (a cell relaxed with PBE; Cu Kα (weighted mean of Kα1 and Kα2)).
Peak positions follow from Bragg's law for the DFT cell and can differ from measured ones.

Top 12 peaks for 10 to 90 degrees two-theta, in order of rising 2θ:
d/Å	I/Imax	(hkl)
5.749	100	2 0 -1
3.522	10	3 1 -1
3.011	24	2 0 1
2.999	50	0 2 1
2.499	34	4 0 0
2.486	67	2 2 -2
1.923	19	6 0 -1
1.914	38	4 2 -3
1.764	32	2 2 2
1.759	60	0 4 0
1.437	12	4 4 0
1.112	9	2 6 -2

Structure:
a b c (Å): 12.2010 7.0286 7.0315
angles (deg): 90.00 124.99 90.00
Space group C2/m (No. 12)
Inequivalent atoms, fractional coordinates:
Mg1 0.1255 0.0000 0.3747
Cr1 0.0000 0.5000 0.0000
Fe1 0.0000 0.5000 0.5000
Fe2 0.2500 0.2500 0.0000
S1 0.0189 0.2779 0.7609
S2 0.2317 0.5000 0.7673
S3 0.2393 0.5000 0.2030


[3]
Structure and calculated powder diffractogram of Rb2Ag4S3 (a cell relaxed with PBE; Cu Kα (weighted mean of Kα1 and Kα2)).
Peak positions follow from Bragg's law for the DFT cell and can differ from measured ones.

Top 12 peaks for 10 to 90 degrees two-theta, in order of rising 2θ:
d/Å	I/Imax	(hkl)
8.653	100	2 0 0
3.158	22	3 1 1
3.014	23	4 0 2
2.983	16	6 0 -2
2.846	43	3 1 -3
2.796	21	5 1 -1
2.718	14	1 1 3
2.708	44	5 1 0
2.449	29	6 0 -4
2.441	23	3 1 -4
2.175	33	0 2 0
2.149	17	7 1 0

Structure:
a b c (Å): 18.2497 4.3495 12.0015
angles (deg): 90.00 108.51 90.00
Space group C2/m (No. 12)
Inequivalent atoms, fractional coordinates:
Rb1 0.1679 0.0000 0.3408
Rb2 0.1891 0.5000 0.8432
Ag1 0.0108 0.5000 0.3751
Ag2 0.0180 0.5000 0.1323
Ag3 0.0883 0.0000 0.5876
Ag4 0.0892 0.0000 0.0085
S1 0.0339 0.0000 0.7748
S2 0.1381 0.5000 0.5401
S3 0.1517 0.5000 0.1071


[4]
Structure and calculated powder diffractogram of Sm2Ga2Fe15 (a cell relaxed with PBE; Cu Kα (weighted mean of Kα1 and Kα2)).
Peak positions follow from Bragg's law for the DFT cell and can differ from measured ones.

Top 12 peaks for 10 to 90 degrees two-theta, in order of rising 2θ:
d/Å	I/Imax	(hkl)
2.979	33	1 1 3
2.881	20	1 0 4
2.456	50	3 0 0
2.385	37	0 2 4
2.127	72	2 2 0
2.117	100	3 0 3
2.087	34	0 0 6
2.081	28	2 1 4
1.895	26	2 2 3
1.490	17	2 2 6
1.228	26	6 0 0
1.210	19	3 0 9

Structure:
a b c (Å): 8.5076 8.5076 12.5203
angles (deg): 90.00 90.00 120.00
Space group R-3m (No. 166, hexagonal axes)
Inequivalent atoms, fractional coordinates:
Sm1 0.0000 0.0000 0.1526
Ga1 0.0000 0.0000 0.3968
Fe1 0.0000 0.2932 0.5000
Fe2 0.0000 0.5000 0.0000
Fe3 0.0008 0.5004 0.3417


[5]
Structure and calculated powder diffractogram of SmUN2 (a cell relaxed with PBE; Cu Kα (weighted mean of Kα1 and Kα2)).
Peak positions follow from Bragg's law for the DFT cell and can differ from measured ones.

Top 12 peaks for 10 to 90 degrees two-theta, in order of rising 2θ:
d/Å	I/Imax	(hkl)
2.860	100	1 0 1
2.483	46	1 1 0
2.464	22	0 0 2
1.756	16	2 0 0
1.749	32	1 1 2
1.496	31	2 1 1
1.488	15	1 0 3
1.430	16	2 0 2
1.135	14	2 1 3
1.111	8	3 1 0
1.109	8	2 2 2
1.104	8	1 1 4

Structure:
a b c (Å): 3.5119 3.5119 4.9288
angles (deg): 90.00 90.00 90.00
Space group P4/mmm (No. 123)
Inequivalent atoms, fractional coordinates:
Sm1 0.0000 0.0000 0.0000
U1 0.5000 0.5000 0.5000
N1 0.0000 0.0000 0.5000
N2 0.5000 0.5000 0.0000


[6]
Structure and calculated powder diffractogram of Sc2BC2 (a cell relaxed with PBE; Cu Kα (weighted mean of Kα1 and Kα2)).
Peak positions follow from Bragg's law for the DFT cell and can differ from measured ones.

Top 12 peaks for 10 to 90 degrees two-theta, in order of rising 2θ:
d/Å	I/Imax	(hkl)
5.344	20	0 0 2
3.188	27	1 0 1
2.672	35	0 0 4
2.437	92	1 0 3
2.362	100	1 1 0
1.781	12	0 0 6
1.770	34	1 1 4
1.670	29	2 0 0
1.422	21	1 1 6
1.416	15	2 0 4
1.377	27	2 1 3
1.218	12	2 0 6

Structure:
a b c (Å): 3.3400 3.3400 10.6871
angles (deg): 90.00 90.00 90.00
Space group I4/mmm (No. 139)
Inequivalent atoms, fractional coordinates:
Sc1 0.0000 0.0000 0.1524
B1 0.0000 0.0000 0.5000
C1 0.0000 0.0000 0.3612


[7]
Structure and calculated powder diffractogram of UN (a cell relaxed with PBE; Cu Kα (weighted mean of Kα1 and Kα2)).
Peak positions follow from Bragg's law for the DFT cell and can differ from measured ones.

Top 7 peaks for 10 to 90 degrees two-theta, in order of rising 2θ:
d/Å	I/Imax	(hkl)
2.813	100	1 1 1
2.436	65	2 0 0
1.723	46	2 2 0
1.469	46	3 1 1
1.407	16	2 2 2
1.218	8	4 0 0
1.118	21	3 3 1

Structure:
a b c (Å): 4.8727 4.8727 4.8727
angles (deg): 90.00 90.00 90.00
Space group Fm-3m (No. 225)
Inequivalent atoms, fractional coordinates:
U1 0.0000 0.0000 0.0000
N1 0.0000 0.0000 0.5000


[8]
Structure and calculated powder diffractogram of NdAg2Ge2 (a cell relaxed with PBE; Cu Kα (weighted mean of Kα1 and Kα2)).
Peak positions follow from Bragg's law for the DFT cell and can differ from measured ones.

Top 12 peaks for 10 to 90 degrees two-theta, in order of rising 2θ:
d/Å	I/Imax	(hkl)
2.821	34	1 0 3
2.796	9	0 0 4
2.678	100	1 1 2
2.157	46	2 0 0
2.061	14	1 1 4
1.986	22	1 0 5
1.713	16	2 1 3
1.590	10	1 1 6
1.525	15	2 2 0
1.461	16	2 1 5
1.325	21	3 1 2
1.173	10	2 0 8

Structure:
a b c (Å): 4.3142 4.3142 11.1828
angles (deg): 90.00 90.00 90.00
Space group I4/mmm (No. 139)
Inequivalent atoms, fractional coordinates:
Nd1 0.0000 0.0000 0.0000
Ag1 0.0000 0.5000 0.2500
Ge1 0.0000 0.0000 0.3901


[9]
Structure and calculated powder diffractogram of MgMoWS4 (a cell relaxed with PBE; Cu Kα (weighted mean of Kα1 and Kα2)).
Peak positions follow from Bragg's law for the DFT cell and can differ from measured ones.

Top 12 peaks for 10 to 90 degrees two-theta, in order of rising 2θ:
d/Å	I/Imax	(hkl)
7.450	100	0 0 3
5.588	16	0 0 4
2.760	13	1 0 0
2.739	14	1 1 -1
2.679	15	1 1 2
2.588	14	1 0 -3
2.474	15	1 1 -4
2.348	32	1 0 5
2.217	13	1 0 -6
1.963	21	1 0 8
1.846	11	1 0 -9
1.558	9	1 2 3

Structure:
a b c (Å): 3.1866 3.1866 22.3501
angles (deg): 90.00 90.00 60.00
Space group P1 (No. 1)
Inequivalent atoms, fractional coordinates:
Mg1 0.0000 0.0000 0.0000
Mo1 0.9273 0.9997 0.6494
W1 0.2607 0.3331 0.3484
S1 0.2606 0.3330 0.5794
S2 0.2606 0.3330 0.7194
S3 0.9273 0.9997 0.2780
S4 0.9273 0.9997 0.4187


[10]
Structure and calculated powder diffractogram of InN (a cell relaxed with PBE; Cu Kα (weighted mean of Kα1 and Kα2)).
Peak positions follow from Bragg's law for the DFT cell and can differ from measured ones.

Top 8 peaks for 10 to 90 degrees two-theta, in order of rising 2θ:
d/Å	I/Imax	(hkl)
2.918	100	1 1 1
2.527	39	2 0 0
1.787	41	2 2 0
1.524	40	3 1 1
1.459	9	2 2 2
1.264	6	4 0 0
1.159	16	3 3 1
1.130	13	4 2 0

Structure:
a b c (Å): 5.0541 5.0541 5.0541
angles (deg): 90.00 90.00 90.00
Space group F-43m (No. 216)
Inequivalent atoms, fractional coordinates:
In1 0.0000 0.0000 0.0000
N1 0.2500 0.2500 0.7500


[11]
Structure and calculated powder diffractogram of Sc2Al3Mo4C3 (a cell relaxed with PBE; Cu Kα (weighted mean of Kα1 and Kα2)).
Peak positions follow from Bragg's law for the DFT cell and can differ from measured ones.

Top 12 peaks for 10 to 90 degrees two-theta, in order of rising 2θ:
d/Å	I/Imax	(hkl)
6.774	66	0 0 2
4.428	11	1 1 1
2.717	16	3 1 0
2.664	26	3 1 1
2.647	12	0 2 1
2.346	13	1 1 5
2.328	100	3 1 3
2.317	46	0 2 3
2.258	28	0 0 6
1.562	16	3 3 0
1.317	11	3 1 9
1.284	11	3 3 6

Structure:
a b c (Å): 9.4349 5.3973 13.5478
angles (deg): 90.00 90.00 90.00
Space group Cmcm (No. 63)
Inequivalent atoms, fractional coordinates:
Sc1 0.0000 0.1626 0.1098
Al1 0.0000 0.3100 0.7500
Al2 0.2423 0.4178 0.2500
Mo1 0.1616 0.3283 0.5790
C1 0.0000 0.5000 0.0000
C2 0.1672 0.0000 0.0000